(1)
Starting from a structure optimized by DFT (GGA-PBE), the powder diffractogram of KGdTiO4 was simulated for Cu Ka.
Kinematic intensities with the Lorentz-polarization factor, no thermal factor.

Largest 10 diffraction maxima, sorted by position, 2θ = 10–90°:
2θ 26.7, I = 43, hkl 2 1 1; 2θ 30.8, I = 100, hkl 3 1 1; 2θ 32.5, I = 27, hkl 0 2 0; 2θ 33.0, I = 30, hkl 0 0 2; 2θ 41.1, I = 14, hkl 6 0 0; 2θ 47.0, I = 30, hkl 0 2 2; 2θ 53.7, I = 12, hkl 6 0 2; 2θ 56.9, I = 16, hkl 3 3 1; 2θ 57.6, I = 17, hkl 3 1 3; 2θ 64.2, I = 13, hkl 6 2 2

Structure:
a = 13.1680 Å, b = 5.5161 Å, c = 5.4227 Å
α = 90.00°, β = 90.00°, γ = 90.00°
Space group Pbcm (No. 57)
Inequivalent atoms, fractional coordinates:
K 0.0956 0.0176 0.2500 [4 per cell]
Gd 0.3982 0.0245 0.2500 [4 per cell]
Ti 0.2528 0.5064 0.2500 [4 per cell]
O 0.1193 0.5290 0.2500 [4 per cell]
O 0.2717 0.2500 0.0000 [4 per cell]
O 0.2960 0.7500 0.0000 [4 per cell]
O 0.4381 0.0677 0.7500 [4 per cell]


(2)
Starting from a structure optimized by DFT (GGA-PBE), the powder diffractogram of K2Gd2Sb2Se9 was simulated for Cu Ka.
Kinematic intensities with the Lorentz-polarization factor, no thermal factor.

Largest 10 diffraction maxima, sorted by position, 2θ = 10–90°:
2θ 12.5, I = 34, hkl 2 0 1; 2θ 29.0, I = 100, hkl 0 2 4; 2θ 30.1, I = 84, hkl 2 2 3; 2θ 32.6, I = 33, hkl 8 0 -2; 2θ 33.0, I = 25, hkl 4 2 -6; 2θ 38.1, I = 31, hkl 8 2 -3; 2θ 39.1, I = 25, hkl 8 2 -2; 2θ 40.5, I = 24, hkl 6 2 2; 2θ 42.7, I = 41, hkl 0 4 0; 2θ 44.0, I = 29, hkl 6 2 -9

Structure:
a = 23.0482 Å, b = 8.4632 Å, c = 21.2970 Å
α = 90.00°, β = 122.68°, γ = 90.00°
Space group C2/m (No. 12)
Inequivalent atoms, fractional coordinates:
K 0.1148 0.2500 0.4453 [8 per cell]
K 0.1699 0.2482 0.0553 [8 per cell]
Gd 0.0885 0.2507 0.7953 [8 per cell]
Gd 0.2066 0.2506 0.2954 [8 per cell]
Sb 0.0314 0.0000 0.1076 [4 per cell]
Sb 0.0383 0.5000 0.1344 [4 per cell]
Sb 0.0752 0.0000 0.6080 [4 per cell]
Sb 0.0968 0.5000 0.6341 [4 per cell]
Se 0.0000 0.2275 0.0000 [4 per cell]
Se 0.0000 0.2274 0.5000 [4 per cell]
Se 0.0084 0.0000 0.6783 [4 per cell]
Se 0.0105 0.5000 0.6796 [4 per cell]
Se 0.0519 0.2567 0.2190 [8 per cell]
Se 0.1081 0.0000 0.9031 [4 per cell]
Se 0.1128 0.5000 0.9110 [4 per cell]
Se 0.1670 0.2562 0.7188 [8 per cell]
Se 0.1678 0.0000 0.1773 [4 per cell]
Se 0.1709 0.5000 0.1808 [4 per cell]
Se 0.1734 0.0000 0.3675 [4 per cell]
Se 0.1784 0.5000 0.3712 [4 per cell]
Se 0.1920 0.5000 0.8692 [4 per cell]
Se 0.1936 0.0000 0.8692 [4 per cell]
Se 0.2023 0.0000 0.5947 [4 per cell]
Se 0.2059 0.5000 0.5918 [4 per cell]


(3)
Starting from a structure optimized by DFT (GGA-PBE), the powder diffractogram of LaPmGdMg was simulated for Cu Ka.
Kinematic intensities with the Lorentz-polarization factor, no thermal factor.

Largest 10 diffraction maxima, sorted by position, 2θ = 10–90°:
2θ 19.2, I = 16, hkl 1 1 1; 2θ 22.2, I = 8, hkl 2 0 0; 2θ 31.6, I = 100, hkl 2 2 0; 2θ 37.2, I = 9, hkl 3 1 1; 2θ 45.3, I = 18, hkl 4 0 0; 2θ 49.6, I = 4, hkl 3 3 1; 2θ 56.3, I = 39, hkl 4 2 2; 2θ 66.0, I = 12, hkl 4 4 0; 2θ 75.0, I = 16, hkl 6 2 0; 2θ 83.6, I = 4, hkl 4 4 4

Structure:
a = 8.0099 Å, b = 8.0099 Å, c = 8.0099 Å
α = 90.00°, β = 90.00°, γ = 90.00°
Space group F-43m (No. 216)
Inequivalent atoms, fractional coordinates:
La 0.0000 0.0000 0.0000 [4 per cell]
Pm 0.2500 0.2500 0.7500 [4 per cell]
Gd 0.0000 0.0000 0.5000 [4 per cell]
Mg 0.2500 0.2500 0.2500 [4 per cell]


(4)
Starting from a structure optimized by DFT (GGA-PBE), the powder diffractogram of LaGdPdPt was simulated for Cu Ka.
Kinematic intensities with the Lorentz-polarization factor, no thermal factor.

Largest 10 diffraction maxima, sorted by position, 2θ = 10–90°:
2θ 21.4, I = 5, hkl 1 1 1; 2θ 35.2, I = 100, hkl 2 2 0; 2θ 41.6, I = 3, hkl 3 1 1; 2θ 50.7, I = 18, hkl 4 0 0; 2θ 55.6, I = 1, hkl 3 3 1; 2θ 63.2, I = 37, hkl 4 2 2; 2θ 67.5, I = 1, hkl 5 1 1; 2θ 74.5, I = 11, hkl 4 4 0; 2θ 78.5, I = 1, hkl 5 3 1; 2θ 85.2, I = 16, hkl 6 2 0

Structure:
a = 7.2062 Å, b = 7.2062 Å, c = 7.2062 Å
α = 90.00°, β = 90.00°, γ = 90.00°
Space group F-43m (No. 216)
Inequivalent atoms, fractional coordinates:
La 0.0000 0.0000 0.0000 [4 per cell]
Gd 0.0000 0.0000 0.5000 [4 per cell]
Pd 0.2500 0.2500 0.2500 [4 per cell]
Pt 0.2500 0.2500 0.7500 [4 per cell]


(5)
Starting from a structure optimized by DFT (GGA-PBE), the powder diffractogram of LaGdPt was simulated for Cu Ka.
Kinematic intensities with the Lorentz-polarization factor, no thermal factor.

Largest 10 diffraction maxima, sorted by position, 2θ = 10–90°:
2θ 21.7, I = 37, hkl 1 1 1; 2θ 35.8, I = 100, hkl 2 2 0; 2θ 42.3, I = 20, hkl 3 1 1; 2θ 51.6, I = 18, hkl 4 0 0; 2θ 56.6, I = 9, hkl 3 3 1; 2θ 64.4, I = 37, hkl 4 2 2; 2θ 68.8, I = 6, hkl 5 1 1; 2θ 76.0, I = 11, hkl 4 4 0; 2θ 80.1, I = 6, hkl 5 3 1; 2θ 86.9, I = 17, hkl 6 2 0

Structure:
a = 7.0867 Å, b = 7.0867 Å, c = 7.0867 Å
α = 90.00°, β = 90.00°, γ = 90.00°
Space group F-43m (No. 216)
Inequivalent atoms, fractional coordinates:
La 0.0000 0.0000 0.0000 [4 per cell]
Gd 0.0000 0.0000 0.5000 [4 per cell]
Pt 0.2500 0.2500 0.7500 [4 per cell]